Calculated XRD peak list of CaTbV2O8 for a wavelength of 1.5418 Å, from a cell relaxed with GGA+U.

```
CaTbV2O8
1.0
-3.651 3.651 3.213
3.651 -3.651 3.213
3.651 3.651 -3.213
Ca Tb V O
1 1 2 8
Cartesian
0.000 0.000 0.000
0.000 3.651 1.607
3.651 0.000 1.607
0.000 0.000 3.213
2.324 0.000 0.484
4.979 0.000 0.484
3.651 2.272 -1.060
3.651 -1.328 2.730
0.000 1.379 2.154
3.651 1.328 2.730
2.272 3.651 1.060
1.379 0.000 4.273
```

Most intense lines, 5 to 70 degrees two-theta, sorted by position:
| d [Å] | I (rel.) |
| --- | --- |
| 5.164 | 28 |
| 4.824 | 38 |
| 3.651 | 100 |
| 2.911 | 15 |
| 2.728 | 65 |
| 2.582 | 16 |
| 2.276 | 15 |
| 1.875 | 57 |
| 1.826 | 16 |
| 1.517 | 17 |